(1)
Simulated powder diffraction line list
Compound: Na5B9C
Radiation: Cu Kα (λ = 1.5418 Å)
Structure: a DFT-relaxed cell (GGA-PBE, Alexandria)
Intensities are scaled so that the largest is 100.

Atomic structure:
```
data_Na5B9C
_chemical_formula_sum 'Na10 B18 C2'
_cell_length_a 8.669
_cell_length_b 13.272
_cell_length_c 13.272
_cell_angle_alpha 12.66
_cell_angle_beta 90.00
_cell_angle_gamma 90.00
_symmetry_space_group_name_H-M 'P 1'
_symmetry_Int_Tables_number 1
_symmetry_space_group_name_Hall 'P 1'
loop_
_atom_site_label
_atom_site_fract_x
_atom_site_fract_y
_atom_site_fract_z
Na1 0.246 0.000 0.000
Na2 0.247 0.599 0.599
Na3 0.249 0.198 0.198
Na4 0.249 0.400 0.400
Na5 0.249 0.799 0.799
Na6 0.751 0.198 0.198
Na7 0.751 0.400 0.400
Na8 0.751 0.799 0.799
Na9 0.753 0.599 0.599
Na10 0.754 0.000 0.000
B1 0.000 0.066 0.066
B2 0.000 0.133 0.133
B3 0.000 0.266 0.266
B4 0.000 0.332 0.332
B5 0.000 0.466 0.466
B6 0.000 0.533 0.533
B7 0.000 0.666 0.666
B8 0.000 0.733 0.733
B9 0.000 0.866 0.866
B10 0.000 0.933 0.933
B11 0.500 0.067 0.067
B12 0.500 0.265 0.265
B13 0.500 0.329 0.329
B14 0.500 0.477 0.477
B15 0.500 0.658 0.658
B16 0.500 0.725 0.725
B17 0.500 0.872 0.872
B18 0.500 0.936 0.936
C1 0.500 0.128 0.128
C2 0.500 0.536 0.536
```

Principal peaks in the range 2θ from 10° to 90°, by angle:
Position (°2θ), d (Å), I/Imax
34.0, 2.638, 12
35.1, 2.559, 19
40.0, 2.254, 50
41.0, 2.203, 100
41.7, 2.167, 36
55.6, 1.654, 10
61.5, 1.507, 18
75.6, 1.258, 13
77.1, 1.237, 17
77.9, 1.227, 11

---

(2)
Simulated powder diffraction line list
Compound: Na10B13C7
Radiation: Cu Kα (λ = 1.5418 Å)
Structure: a DFT-relaxed cell (GGA-PBE, Alexandria)
Intensities are scaled so that the largest is 100.

Atomic structure:
```
data_Na10B13C7
_chemical_formula_sum 'Na10 B13 C7'
_cell_length_a 8.513
_cell_length_b 12.729
_cell_length_c 12.729
_cell_angle_alpha 12.80
_cell_angle_beta 90.00
_cell_angle_gamma 90.00
_symmetry_space_group_name_H-M 'P 1'
_symmetry_Int_Tables_number 1
_symmetry_space_group_name_Hall 'P 1'
loop_
_atom_site_label
_atom_site_fract_x
_atom_site_fract_y
_atom_site_fract_z
Na1 0.248 0.000 0.000
Na2 0.248 0.400 0.400
Na3 0.250 0.600 0.600
Na4 0.250 0.799 0.799
Na5 0.252 0.199 0.199
Na6 0.748 0.199 0.199
Na7 0.750 0.600 0.600
Na8 0.750 0.799 0.799
Na9 0.752 0.000 0.000
Na10 0.752 0.400 0.400
B1 0.000 0.069 0.069
B2 0.000 0.263 0.263
B3 0.000 0.472 0.472
B4 0.000 0.666 0.666
B5 0.000 0.860 0.860
B6 0.000 0.932 0.932
B7 0.500 0.126 0.126
B8 0.500 0.330 0.330
B9 0.500 0.533 0.533
B10 0.500 0.666 0.666
B11 0.500 0.735 0.735
B12 0.500 0.869 0.869
B13 0.500 0.939 0.939
C1 0.000 0.134 0.134
C2 0.000 0.328 0.328
C3 0.000 0.537 0.537
C4 0.000 0.731 0.731
C5 0.500 0.064 0.064
C6 0.500 0.266 0.266
C7 0.500 0.469 0.469
```

Principal peaks in the range 2θ from 10° to 90°, by angle:
Position (°2θ), d (Å), I/Imax
35.5, 2.530, 10
36.3, 2.475, 18
41.5, 2.175, 51
42.2, 2.140, 100
42.5, 2.128, 38
57.1, 1.614, 10
64.2, 1.450, 17
77.5, 1.231, 13
80.1, 1.198, 17
80.9, 1.188, 11

---

(3)
Simulated powder diffraction line list
Compound: Na10B17C3
Radiation: Cu Kα (λ = 1.5418 Å)
Structure: a DFT-relaxed cell (GGA-PBE, Alexandria)
Intensities are scaled so that the largest is 100.

Atomic structure:
```
data_Na10B17C3
_chemical_formula_sum 'Na10 B17 C3'
_cell_length_a 11.606
_cell_length_b 11.606
_cell_length_c 10.058
_cell_angle_alpha 106.61
_cell_angle_beta 106.61
_cell_angle_gamma 14.63
_symmetry_space_group_name_H-M 'P 1'
_symmetry_Int_Tables_number 1
_symmetry_space_group_name_Hall 'P 1'
loop_
_atom_site_label
_atom_site_fract_x
_atom_site_fract_y
_atom_site_fract_z
Na1 0.000 0.000 0.000
Na2 0.100 0.100 0.700
Na3 0.200 0.200 0.401
Na4 0.300 0.300 0.101
Na5 0.400 0.400 0.801
Na6 0.500 0.500 0.498
Na7 0.599 0.599 0.201
Na8 0.701 0.701 0.899
Na9 0.799 0.799 0.603
Na10 0.900 0.900 0.301
B1 0.011 0.011 0.273
B2 0.081 0.081 0.413
B3 0.116 0.116 0.982
B4 0.183 0.183 0.119
B5 0.214 0.214 0.680
B6 0.283 0.283 0.818
B7 0.316 0.316 0.382
B8 0.384 0.384 0.519
B9 0.417 0.417 0.085
B10 0.516 0.516 0.783
B11 0.584 0.584 0.918
B12 0.620 0.620 0.491
B13 0.716 0.716 0.183
B14 0.784 0.784 0.318
B15 0.823 0.823 0.898
B16 0.916 0.916 0.582
B17 0.984 0.984 0.718
C1 0.480 0.480 0.212
C2 0.683 0.683 0.616
C3 0.885 0.885 0.022
```

Principal peaks in the range 2θ from 10° to 90°, by angle:
Position (°2θ), d (Å), I/Imax
34.7, 2.584, 13
35.0, 2.565, 26
40.6, 2.223, 34
40.9, 2.206, 100
41.1, 2.197, 66
42.1, 2.145, 47
62.4, 1.488, 24
62.9, 1.477, 12
76.4, 1.247, 12
77.8, 1.227, 19

---

(4)
Simulated powder diffraction line list
Compound: Na5B8C2
Radiation: Cu Kα (λ = 1.5418 Å)
Structure: a DFT-relaxed cell (GGA-PBE, Alexandria)
Intensities are scaled so that the largest is 100.

Atomic structure:
```
data_Na5B8C2
_chemical_formula_sum 'Na10 B16 C4'
_cell_length_a 5.282
_cell_length_b 8.667
_cell_length_c 7.525
_cell_angle_alpha 90.00
_cell_angle_beta 110.51
_cell_angle_gamma 90.00
_symmetry_space_group_name_H-M 'P 1'
_symmetry_Int_Tables_number 1
_symmetry_space_group_name_Hall 'P 1'
loop_
_atom_site_label
_atom_site_fract_x
_atom_site_fract_y
_atom_site_fract_z
Na1 0.000 0.000 0.000
Na2 0.000 0.500 0.000
Na3 0.204 0.003 0.400
Na4 0.204 0.497 0.400
Na5 0.402 0.504 0.800
Na6 0.402 0.996 0.800
Na7 0.598 0.004 0.200
Na8 0.598 0.496 0.200
Na9 0.796 0.503 0.600
Na10 0.796 0.997 0.600
B1 0.026 0.250 0.790
B2 0.050 0.750 0.790
B3 0.153 0.250 0.603
B4 0.163 0.750 0.590
B5 0.274 0.250 0.207
B6 0.332 0.750 0.008
B7 0.340 0.250 0.988
B8 0.480 0.250 0.601
B9 0.520 0.750 0.399
B10 0.660 0.750 0.012
B11 0.668 0.250 0.992
B12 0.726 0.750 0.793
B13 0.837 0.250 0.410
B14 0.847 0.750 0.397
B15 0.950 0.250 0.210
B16 0.974 0.750 0.210
C1 0.265 0.750 0.204
C2 0.460 0.750 0.596
C3 0.540 0.250 0.404
C4 0.735 0.250 0.796
```

Principal peaks in the range 2θ from 10° to 90°, by angle:
Position (°2θ), d (Å), I/Imax
33.9, 2.641, 13
36.1, 2.487, 17
40.0, 2.255, 50
41.7, 2.167, 38
41.9, 2.157, 100
56.3, 1.634, 9
62.2, 1.493, 18
76.2, 1.249, 13
77.7, 1.230, 17
80.3, 1.195, 9

---

(5)
Simulated powder diffraction line list
Compound: Na10B17C3
Radiation: Cu Kα (λ = 1.5418 Å)
Structure: a DFT-relaxed cell (GGA-PBE, Alexandria)
Intensities are scaled so that the largest is 100.

Atomic structure:
```
data_Na10B17C3
_chemical_formula_sum 'Na10 B17 C3'
_cell_length_a 9.188
_cell_length_b 9.188
_cell_length_c 13.772
_cell_angle_alpha 111.74
_cell_angle_beta 111.74
_cell_angle_gamma 17.70
_symmetry_space_group_name_H-M 'P 1'
_symmetry_Int_Tables_number 1
_symmetry_space_group_name_Hall 'P 1'
loop_
_atom_site_label
_atom_site_fract_x
_atom_site_fract_y
_atom_site_fract_z
Na1 0.000 0.000 0.000
Na2 0.000 0.000 0.494
Na3 0.200 0.200 0.395
Na4 0.202 0.202 0.900
Na5 0.399 0.399 0.296
Na6 0.400 0.400 0.798
Na7 0.600 0.600 0.696
Na8 0.602 0.602 0.196
Na9 0.800 0.800 0.098
Na10 0.800 0.800 0.595
B1 0.026 0.026 0.298
B2 0.033 0.033 0.812
B3 0.165 0.165 0.077
B4 0.170 0.170 0.583
B5 0.231 0.231 0.708
B6 0.232 0.232 0.209
B7 0.363 0.363 0.469
B8 0.372 0.372 0.992
B9 0.428 0.428 0.602
B10 0.438 0.438 0.122
B11 0.566 0.566 0.377
B12 0.575 0.575 0.898
B13 0.628 0.628 0.501
B14 0.771 0.771 0.789
B15 0.772 0.772 0.288
B16 0.834 0.834 0.916
B17 0.970 0.970 0.687
C1 0.633 0.633 0.015
C2 0.832 0.832 0.408
C3 0.968 0.968 0.181
```

Principal peaks in the range 2θ from 10° to 90°, by angle:
Position (°2θ), d (Å), I/Imax
33.5, 2.671, 16
35.9, 2.499, 19
39.6, 2.275, 57
41.7, 2.168, 100
41.7, 2.165, 57
56.1, 1.638, 11
61.5, 1.507, 21
76.0, 1.252, 15
77.1, 1.238, 20
79.9, 1.201, 11

---

(6)
Simulated powder diffraction line list
Compound: Na10B17C3
Radiation: Cu Kα (λ = 1.5418 Å)
Structure: a DFT-relaxed cell (GGA-PBE, Alexandria)
Intensities are scaled so that the largest is 100.

Atomic structure:
```
data_Na10B17C3
_chemical_formula_sum 'Na10 B17 C3'
_cell_length_a 7.845
_cell_length_b 7.845
_cell_length_c 10.465
_cell_angle_alpha 122.38
_cell_angle_beta 122.38
_cell_angle_gamma 38.17
_symmetry_space_group_name_H-M 'P 1'
_symmetry_Int_Tables_number 1
_symmetry_space_group_name_Hall 'P 1'
loop_
_atom_site_label
_atom_site_fract_x
_atom_site_fract_y
_atom_site_fract_z
Na1 0.000 0.000 0.249
Na2 0.000 0.000 0.751
Na3 0.199 0.201 0.751
Na4 0.202 0.197 0.248
Na5 0.396 0.401 0.248
Na6 0.403 0.400 0.754
Na7 0.599 0.604 0.752
Na8 0.600 0.597 0.246
Na9 0.799 0.801 0.249
Na10 0.803 0.798 0.752
B1 0.042 0.354 0.500
B2 0.051 0.359 0.000
B3 0.153 0.847 0.500
B4 0.221 0.577 0.000
B5 0.233 0.577 0.500
B6 0.384 0.022 0.500
B7 0.423 0.767 0.500
B8 0.423 0.779 0.000
B9 0.558 0.233 0.500
B10 0.562 0.235 0.000
B11 0.641 0.949 0.000
B12 0.646 0.958 0.500
B13 0.765 0.438 0.000
B14 0.767 0.442 0.500
B15 0.815 0.185 0.500
B16 0.855 0.145 0.000
B17 0.978 0.616 0.500
C1 0.162 0.838 0.000
C2 0.366 0.034 0.000
C3 0.966 0.634 0.000
```

Principal peaks in the range 2θ from 10° to 90°, by angle:
Position (°2θ), d (Å), I/Imax
35.0, 2.567, 20
40.9, 2.205, 100
41.9, 2.156, 24
55.7, 1.651, 11
62.7, 1.482, 18
66.8, 1.401, 2
75.9, 1.254, 8
75.9, 1.254, 4
77.6, 1.230, 11
78.3, 1.221, 17

---

(7)
Simulated powder diffraction line list
Compound: Na10B13C7
Radiation: Cu Kα (λ = 1.5418 Å)
Structure: a DFT-relaxed cell (GGA-PBE, Alexandria)
Intensities are scaled so that the largest is 100.

Atomic structure:
```
data_Na10B13C7
_chemical_formula_sum 'Na10 B13 C7'
_cell_length_a 9.005
_cell_length_b 9.005
_cell_length_c 13.292
_cell_angle_alpha 113.30
_cell_angle_beta 113.30
_cell_angle_gamma 18.05
_symmetry_space_group_name_H-M 'P 1'
_symmetry_Int_Tables_number 1
_symmetry_space_group_name_Hall 'P 1'
loop_
_atom_site_label
_atom_site_fract_x
_atom_site_fract_y
_atom_site_fract_z
Na1 0.000 0.000 0.000
Na2 0.000 0.000 0.496
Na3 0.200 0.200 0.399
Na4 0.202 0.202 0.897
Na5 0.397 0.397 0.797
Na6 0.400 0.400 0.300
Na7 0.600 0.600 0.201
Na8 0.602 0.602 0.694
Na9 0.799 0.799 0.596
Na10 0.801 0.801 0.101
B1 0.024 0.024 0.793
B2 0.164 0.164 0.574
B3 0.173 0.173 0.096
B4 0.241 0.241 0.232
B5 0.373 0.373 0.994
B6 0.431 0.431 0.608
B7 0.566 0.566 0.381
B8 0.567 0.567 0.878
B9 0.631 0.631 0.010
B10 0.762 0.762 0.768
B11 0.833 0.833 0.913
B12 0.836 0.836 0.420
B13 0.968 0.968 0.187
C1 0.033 0.033 0.317
C2 0.230 0.230 0.704
C3 0.367 0.367 0.482
C4 0.435 0.435 0.123
C5 0.632 0.632 0.510
C6 0.772 0.772 0.294
C7 0.963 0.963 0.671
```

Principal peaks in the range 2θ from 10° to 90°, by angle:
Position (°2θ), d (Å), I/Imax
35.4, 2.538, 11
36.4, 2.469, 17
41.3, 2.186, 25
41.5, 2.177, 25
42.3, 2.137, 100
42.4, 2.134, 38
64.1, 1.452, 17
66.1, 1.413, 8
80.1, 1.198, 8
81.8, 1.178, 8

---

(8)
Simulated powder diffraction line list
Compound: Na10B17C3
Radiation: Cu Kα (λ = 1.5418 Å)
Structure: a DFT-relaxed cell (GGA-PBE, Alexandria)
Intensities are scaled so that the largest is 100.

Atomic structure:
```
data_Na10B17C3
_chemical_formula_sum 'Na10 B17 C3'
_cell_length_a 8.672
_cell_length_b 7.872
_cell_length_c 7.872
_cell_angle_alpha 142.43
_cell_angle_beta 90.00
_cell_angle_gamma 90.00
_symmetry_space_group_name_H-M 'P 1'
_symmetry_Int_Tables_number 1
_symmetry_space_group_name_Hall 'P 1'
loop_
_atom_site_label
_atom_site_fract_x
_atom_site_fract_y
_atom_site_fract_z
Na1 0.248 0.000 0.000
Na2 0.249 0.402 0.602
Na3 0.249 0.602 0.402
Na4 0.252 0.207 0.806
Na5 0.252 0.806 0.207
Na6 0.748 0.207 0.806
Na7 0.748 0.806 0.207
Na8 0.751 0.402 0.602
Na9 0.751 0.602 0.402
Na10 0.752 0.000 0.000
B1 0.000 0.075 0.292
B2 0.000 0.292 0.075
B3 0.000 0.324 0.324
B4 0.000 0.456 0.869
B5 0.000 0.676 0.676
B6 0.000 0.733 0.935
B7 0.000 0.869 0.456
B8 0.000 0.935 0.733
B9 0.500 0.063 0.267
B10 0.500 0.145 0.538
B11 0.500 0.267 0.063
B12 0.500 0.338 0.338
B13 0.500 0.485 0.888
B14 0.500 0.538 0.145
B15 0.500 0.731 0.912
B16 0.500 0.888 0.485
B17 0.500 0.912 0.731
C1 0.000 0.138 0.542
C2 0.000 0.542 0.138
C3 0.500 0.660 0.660
```

Principal peaks in the range 2θ from 10° to 90°, by angle:
Position (°2θ), d (Å), I/Imax
34.9, 2.570, 21
35.4, 2.535, 9
40.8, 2.211, 100
41.3, 2.188, 50
41.7, 2.168, 37
55.5, 1.657, 11
63.2, 1.470, 17
75.5, 1.260, 12
77.5, 1.232, 12
78.6, 1.217, 22

---

(9)
Simulated powder diffraction line list
Compound: Na10B17C3
Radiation: Cu Kα (λ = 1.5418 Å)
Structure: a DFT-relaxed cell (GGA-PBE, Alexandria)
Intensities are scaled so that the largest is 100.

Atomic structure:
```
data_Na10B17C3
_chemical_formula_sum 'Na10 B17 C3'
_cell_length_a 7.590
_cell_length_b 7.590
_cell_length_c 10.392
_cell_angle_alpha 120.89
_cell_angle_beta 120.89
_cell_angle_gamma 40.92
_symmetry_space_group_name_H-M 'P 1'
_symmetry_Int_Tables_number 1
_symmetry_space_group_name_Hall 'P 1'
loop_
_atom_site_label
_atom_site_fract_x
_atom_site_fract_y
_atom_site_fract_z
Na1 0.000 0.000 0.250
Na2 0.000 0.000 0.750
Na3 0.200 0.204 0.254
Na4 0.200 0.204 0.754
Na5 0.393 0.402 0.243
Na6 0.393 0.402 0.743
Na7 0.598 0.607 0.257
Na8 0.598 0.607 0.757
Na9 0.796 0.800 0.246
Na10 0.796 0.800 0.746
B1 0.034 0.355 0.000
B2 0.037 0.352 0.500
B3 0.178 0.822 0.500
B4 0.228 0.584 0.000
B5 0.362 0.043 0.000
B6 0.365 0.026 0.500
B7 0.416 0.772 0.000
B8 0.534 0.277 0.500
B9 0.554 0.259 0.000
B10 0.645 0.966 0.000
B11 0.648 0.963 0.500
B12 0.723 0.466 0.500
B13 0.741 0.446 0.000
B14 0.849 0.151 0.500
B15 0.868 0.132 0.000
B16 0.957 0.638 0.000
B17 0.974 0.635 0.500
C1 0.161 0.839 0.000
C2 0.237 0.569 0.501
C3 0.431 0.763 0.499
```

Principal peaks in the range 2θ from 10° to 90°, by angle:
Position (°2θ), d (Å), I/Imax
33.8, 2.653, 10
35.8, 2.507, 13
39.8, 2.265, 36
41.6, 2.172, 100
56.0, 1.642, 7
61.8, 1.502, 13
75.8, 1.254, 11
77.2, 1.236, 13
79.6, 1.204, 7
80.8, 1.190, 6